Starting from a DFT-relaxed cell (GGA+U, the Materials Project), the powder X-ray diffraction pattern of Mg2NiIrO6 was calculated for Cu Kα (weighted mean of Kα1 and Kα2).
Peak positions follow from Bragg's law for the DFT cell and can differ from measured ones.

Principal peaks in the range 5 to 70 degrees two-theta, in order of rising 2θ:
hkl, 2θ/deg, I_rel
0 1 1, 20.4, 37
1 0 -2, 21.0, 35
0 0 2, 23.6, 37
1 1 -1, 24.1, 74
0 2 0, 33.7, 24
1 1 1, 34.0, 100
1 0 -4, 40.0, 22
2 2 -2, 49.5, 22
1 3 -1, 54.7, 29
3 1 -1, 62.3, 25

Structure:
a b c (Å): 5.110 5.322 9.104
angles (deg): 90.00 124.10 90.00
Fractional positions:
Mg (0.236, 0.064, 0.249)
Mg (0.236, 0.436, 0.749)
Mg (0.764, 0.564, 0.251)
Mg (0.764, 0.936, 0.751)
Ni (0.000, 0.000, 0.500)
Ni (0.000, 0.500, 0.000)
Ir (0.500, 0.000, 0.000)
Ir (0.500, 0.500, 0.500)
O (0.118, 0.181, 0.930)
O (0.118, 0.319, 0.430)
O (0.252, 0.691, 0.925)
O (0.252, 0.809, 0.425)
O (0.396, 0.068, 0.758)
O (0.396, 0.432, 0.258)
O (0.604, 0.568, 0.742)
O (0.604, 0.932, 0.242)
O (0.748, 0.191, 0.575)
O (0.748, 0.309, 0.075)
O (0.882, 0.681, 0.570)
O (0.882, 0.819, 0.070)